Starting from DFT lattice parameters and positions (PBE), the PXRD pattern of Te7IrCl7 was calculated for Cu Kα (λ = 1.5418 Å).

Most intense lines, 10° ≤ 2θ ≤ 80°, by angle:
- 10.73°, I = 100, hkl 1 0 0
- 11.27°, I = 95, hkl 1 1 1
- 11.59°, I = 61, hkl 1 0 1
- 30.04°, I = 35, hkl 1 -1 3
- 30.51°, I = 34, hkl 1 3 3
- 32.72°, I = 67, hkl 3 2 0
- 34.04°, I = 40, hkl 2 -1 3
- 34.23°, I = 36, hkl 0 3 3
- 43.96°, I = 26, hkl 1 -4 0
- 47.15°, I = 21, hkl 2 2 6

Structure:
a = 9.3776 Å, b = 10.2733 Å, c = 11.5689 Å
α = 69.12°, β = 66.86°, γ = 66.96°
Space group P-1 (No. 2)
Unique sites:
1 Te 0.0455 0.1576 0.0151 (multiplicity 2)
2 Te 0.0558 0.1568 0.3410 (multiplicity 2)
3 Te 0.0688 0.6548 0.1985 (multiplicity 2)
4 Te 0.1941 0.4456 0.0317 (multiplicity 2)
5 Te 0.2089 0.4489 0.6990 (multiplicity 2)
6 Te 0.3422 0.7368 0.7273 (multiplicity 2)
7 Te 0.3502 0.2113 0.8790 (multiplicity 2)
8 Ir 0.0735 0.6496 0.8405 (multiplicity 2)
9 Cl 0.0194 0.6560 0.5272 (multiplicity 2)
10 Cl 0.1969 0.0076 0.6891 (multiplicity 2)
11 Cl 0.2120 0.9597 0.2078 (multiplicity 2)
12 Cl 0.3217 0.1765 0.2850 (multiplicity 2)
13 Cl 0.3295 0.7611 0.9614 (multiplicity 2)
14 Cl 0.3523 0.7586 0.5033 (multiplicity 2)
15 Cl 0.4658 0.5337 0.2683 (multiplicity 2)